Structure and simulated X-ray diffraction stick pattern of La2Pr4Hg3N2 (a cell relaxed with GGA-PBE; a wavelength of 1.5418 Å).
Peak positions follow from Bragg's law for the DFT cell and can differ from measured ones.

Structural model:
abc: 5.033 5.033 24.695
angles: 90.00 90.00 90.00
Space group I4/mmm (No. 139)
Unique sites:
La (0.000, 0.000, 0.197)
Pr (0.000, 0.500, 0.084)
Hg (0.000, 0.000, 0.329)
Hg (0.000, 0.000, 0.500)
N (0.000, 0.000, 0.107)

Top 6 peaks for 2θ = 15–90°, sorted by position:
Position (°2θ)	I/Imax	hkl
17.99	21	1 0 1
26.06	30	1 1 2
30.96	21	1 0 7
33.28	100	1 1 6
35.68	56	2 0 0
62.58	33	3 1 6